Record 1
The following is a simulated X-ray diffraction stick pattern of YSnO3. It was derived from a DFT-relaxed cell (GGA-PBE, the Materials Project), using Cu Kα (λ = 1.5418 Å).
Neutral-atom scattering factors, no anomalous dispersion.

Peak list (12 most intense, 10° ≤ 2θ ≤ 90°, low angle first)
| d (Å) | two_theta | I (rel.) |
| --- | --- | --- |
| 2.971 | 30.1 | 100.0 |
| 2.959 | 30.2 | 74.1 |
| 2.831 | 31.6 | 27.1 |
| 2.150 | 42.0 | 16.7 |
| 2.048 | 44.2 | 25.3 |
| 1.741 | 52.6 | 16.7 |
| 1.717 | 53.3 | 9.9 |
| 1.712 | 53.5 | 20.5 |
| 1.663 | 55.2 | 16.4 |
| 1.656 | 55.5 | 16.3 |
| 1.486 | 62.5 | 8.0 |
| 1.351 | 69.6 | 8.5 |

```
YSnO3
1.0
5.6621 0.0000 0.0000
0.0000 5.9325 0.0000
-5.6066 0.0000 8.5995
Y Sn O
4 4 12
Direct
0.2262 0.0613 0.2497 Y
0.2262 0.4387 0.7497 Y
0.7738 0.5613 0.2503 Y
0.7738 0.9387 0.7503 Y
0.0000 0.0000 0.5000 Sn
0.0000 0.5000 0.0000 Sn
0.5000 0.0000 0.0000 Sn
0.5000 0.5000 0.5000 Sn
0.0692 0.2049 0.9112 O
0.0692 0.2951 0.4112 O
0.2097 0.6746 0.9193 O
0.2097 0.8254 0.4193 O
0.3808 0.0850 0.7197 O
0.3808 0.4150 0.2197 O
0.6192 0.5850 0.7803 O
0.6192 0.9150 0.2803 O
0.7903 0.1746 0.5807 O
0.7903 0.3254 0.0807 O
0.9308 0.7049 0.5888 O
0.9308 0.7951 0.0888 O
```

Record 2
The following is a simulated X-ray diffraction stick pattern of YSnO3. It was derived from a DFT-relaxed cell (GGA-PBE, the Materials Project), using Cu Kα (λ = 1.5418 Å).
Neutral-atom scattering factors, no anomalous dispersion.

Peak list (12 most intense, 10° ≤ 2θ ≤ 90°, low angle first)
| d (Å) | two_theta | I (rel.) |
| --- | --- | --- |
| 3.144 | 28.4 | 51.8 |
| 3.114 | 28.7 | 100.0 |
| 2.862 | 31.3 | 87.7 |
| 2.550 | 35.2 | 26.6 |
| 1.981 | 45.8 | 29.8 |
| 1.855 | 49.1 | 52.0 |
| 1.756 | 52.1 | 27.5 |
| 1.598 | 57.7 | 42.8 |
| 1.594 | 57.9 | 13.5 |
| 1.557 | 59.4 | 15.4 |
| 1.199 | 80.0 | 12.2 |
| 1.193 | 80.5 | 13.5 |

```
YSnO3
1.0
6.4271 0.0000 0.0000
-3.2136 5.5660 0.0000
0.0000 0.0000 12.5764
Y Sn O
6 6 18
Direct
0.0000 0.0000 0.0000 Y
0.0000 0.0000 0.5000 Y
0.3333 0.6667 0.4679 Y
0.3333 0.6667 0.9679 Y
0.6667 0.3333 0.4679 Y
0.6667 0.3333 0.9679 Y
0.0000 0.3331 0.2316 Sn
0.0000 0.6669 0.7316 Sn
0.3331 0.0000 0.2316 Sn
0.3331 0.3331 0.7316 Sn
0.6669 0.0000 0.7316 Sn
0.6669 0.6669 0.2316 Sn
0.0000 0.0000 0.2024 O
0.0000 0.0000 0.7024 O
0.0000 0.3091 0.4052 O
0.0000 0.3596 0.0599 O
0.0000 0.6404 0.5599 O
0.0000 0.6909 0.9052 O
0.3091 0.0000 0.4052 O
0.3091 0.3091 0.9052 O
0.3333 0.6667 0.2568 O
0.3333 0.6667 0.7568 O
0.3596 0.0000 0.0599 O
0.3596 0.3596 0.5599 O
0.6404 0.0000 0.5599 O
0.6404 0.6404 0.0599 O
0.6667 0.3333 0.2568 O
0.6667 0.3333 0.7568 O
0.6909 0.0000 0.9052 O
0.6909 0.6909 0.4052 O
```